1.
This entry pairs a crystal structure of TiReIr6 with its theoretical powder X-ray diffraction pattern. Radiation: Cu Kα, 1.54184 Å. Structure: a cell relaxed with PBE.
No peak broadening, texture or thermal motion is included.

Structure:
a = 5.486 Å, b = 5.486 Å, c = 3.876 Å
α = 90.00°, β = 90.00°, γ = 90.00°
Space group P4/mmm (No. 123)
One atom of each set of equivalent atoms:
Ti  0.000  0.000  0.000 [1 per cell]
Re  0.500  0.500  0.000 [1 per cell]
Ir  0.000  0.500  0.000 [2 per cell]
Ir  0.254  0.254  0.500 [4 per cell]

Main lines, sorted by position (2θ from 5° to 70°):
two_theta  d (Å)  intensity  index
16.2  5.486  6  1 0 0
22.9  3.878  4  0 0 1
28.2  3.166  2  1 0 1
32.7  2.742  3  1 1 1
40.3  2.239  100  2 0 1
43.7  2.073  2  2 1 1
46.9  1.939  49  0 0 2
68.4  1.371  32  2 2 2

=====

2.
This entry pairs a crystal structure of Na3Ge7Pd2 with its theoretical powder X-ray diffraction pattern. Radiation: Cu Kα, 1.54184 Å. Structure: a cell relaxed with PBE.
No peak broadening, texture or thermal motion is included.

Structure:
a = 5.959 Å, b = 4.001 Å, c = 11.133 Å
α = 90.00°, β = 102.71°, γ = 90.00°
Space group P2/m (No. 10)
One atom of each set of equivalent atoms:
Na  0.000  0.000  0.000 [1 per cell]
Na  0.221  0.000  0.393 [2 per cell]
Ge  0.089  0.500  0.796 [2 per cell]
Ge  0.317  0.500  0.627 [2 per cell]
Ge  0.403  0.000  0.805 [2 per cell]
Ge  0.500  0.500  0.000 [1 per cell]
Pd  0.314  0.500  0.191 [2 per cell]

Main lines, sorted by position (2θ from 5° to 70°):
two_theta  d (Å)  intensity  index
8.1  10.860  68  0 0 1
16.3  5.430  79  0 0 2
22.2  4.001  60  0 1 0
33.5  2.673  100  1 1 2
34.4  2.604  69  1 1 -3
41.6  2.172  47  0 0 5
44.6  2.030  38  2 1 2
45.3  2.000  43  0 2 0